# Sc2FeTc
Computed powder X-ray diffraction pattern, CuKα. Input: a DFT-relaxed cell (PBE, Alexandria).
Intensities are scaled so that the largest is 100.

Principal peaks in the range 2θ = 15–90°, in order of falling intensity:
(1 0 2), 37.70°, rel. 100; (1 1 0), 43.60°, rel. 46; (1 0 3), 45.37°, rel. 44; (2 1 2), 76.14°, rel. 22; (2 1 3), 81.32°, rel. 14; (1 1 1), 45.05°, rel. 14; (2 0 0), 63.36°, rel. 14; (1 1 5), 73.68°, rel. 12; (0 0 3), 32.81°, rel. 9; (1 0 5), 65.23°, rel. 8; (2 0 5), 89.70°, rel. 7; (0 0 5), 56.16°, rel. 7

a b c (Å): 2.936 2.936 8.189
angles (deg): 90.00 90.00 90.00
Space group P4mm (No. 99)
One atom of each set of equivalent atoms:
Sc: 0.000 0.000 0.000 (multiplicity 1)
Sc: 0.500 0.500 0.359 (multiplicity 1)
Fe: 0.500 0.500 0.774 (multiplicity 1)
Tc: 0.000 0.000 0.605 (multiplicity 1)